RbAlGa: computed powder XRD pattern (a wavelength of 1.5418 Å), based on DFT lattice parameters and positions (GGA-PBE).

Structural model:
a b c (Å): 4.3815 4.5980 9.8625
angles (deg): 87.65 89.89 89.96
Fractional coordinates of all 6 atoms:
Rb 0.2484 0.2608 0.3174
Rb 0.7516 0.7392 0.6826
Al 0.2493 0.6913 0.9928
Al 0.7507 0.3087 0.0072
Ga 0.2502 0.1937 0.8557
Ga 0.7498 0.8063 0.1443

Peak list (12 most intense, 5 to 70 degrees two-theta, in order of rising 2θ)
| h k l | 2θ/deg | I_rel |
| --- | --- | --- |
| 0 0 1 | 8.97 | 51 |
| 0 1 2 | 25.97 | 40 |
| 0 1 -2 | 27.08 | 58 |
| 1 0 -2 | 27.24 | 100 |
| 1 1 0 | 28.14 | 80 |
| 1 1 2 | 33.16 | 43 |
| 1 -1 2 | 34.06 | 23 |
| 0 2 0 | 39.22 | 25 |
| 0 1 4 | 40.85 | 20 |
| 2 0 0 | 41.21 | 29 |
| 1 0 -4 | 42.08 | 21 |
| 2 1 -2 | 50.00 | 20 |